Ca3Al2O6: calculated X-ray diffraction stick pattern (a wavelength of 1.5418 Å), based on a DFT-relaxed cell (GGA-PBE, the Materials Project).
Kinematic intensities with the Lorentz-polarization factor, no thermal factor.

Top 6 peaks for 15° ≤ 2θ ≤ 90°, most intense first:
- d 2.711, intensity 100.0
- d 1.917, intensity 54.1
- d 3.429, intensity 49.0
- d 1.860, intensity 32.2
- d 2.127, intensity 27.0
- d 1.424, intensity 25.1

Structure:
Cell: 7.6678 7.6678 7.6678 Å, 90.00 90.00 90.00°
Space group Pm-3m (No. 221)
Inequivalent atoms, fractional coordinates:
Ca (0.0000, 0.0000, 0.0000)
Ca (0.2922, 0.2922, 0.2922)
Al (0.0000, 0.0000, 0.5000)
Al (0.0000, 0.5000, 0.5000)
O (0.0000, 0.2373, 0.5000)
O (0.2333, 0.5000, 0.5000)